(1)
For Cu7Ag2, the PBE geometry in OQMD gives the computed PXRD pattern in this record (Cu Kα X-rays).
Peak positions follow from Bragg's law for the DFT cell and can differ from measured ones.

The 12 most intense peaks (2θ = 10–90°), by angle:
| Position (°2θ) | Rel. int. |
| --- | --- |
| 41.70 | 100.0 |
| 41.85 | 33.0 |
| 47.93 | 22.1 |
| 48.42 | 20.7 |
| 49.38 | 19.9 |
| 70.34 | 6.1 |
| 70.67 | 6.3 |
| 71.37 | 6.0 |
| 71.66 | 11.6 |
| 85.03 | 7.3 |
| 85.67 | 6.8 |
| 87.17 | 7.0 |

Cell and atoms:
a = 4.548 Å, b = 4.630 Å, c = 5.936 Å
α = 74.68°, β = 82.04°, γ = 81.35°
Space group P-1 (No. 2)
Unique sites:
Cu1 0.000 0.000 0.000 x1
Cu2 0.112 0.568 0.793 x2
Cu3 0.227 0.095 0.563 x2
Cu4 0.441 0.219 0.112 x2
Ag1 0.320 0.662 0.331 x2

***

(2)
For GdDyS2I2, the PBE geometry in OQMD gives the computed PXRD pattern in this record (Cu Kα X-rays).
Peak positions follow from Bragg's law for the DFT cell and can differ from measured ones.

The 12 most intense peaks (2θ = 10–90°), by angle:
| Position (°2θ) | Rel. int. |
| --- | --- |
| 18.89 | 100.0 |
| 28.13 | 90.9 |
| 28.46 | 48.2 |
| 33.31 | 32.0 |
| 37.29 | 16.0 |
| 39.02 | 43.6 |
| 42.96 | 15.7 |
| 44.15 | 52.5 |
| 47.31 | 18.4 |
| 50.24 | 11.9 |
| 50.85 | 13.1 |
| 55.42 | 14.6 |

Cell and atoms:
a = 4.211 Å, b = 5.379 Å, c = 9.647 Å
α = 90.00°, β = 90.00°, γ = 90.00°
Space group Pmm2 (No. 25)
Unique sites:
Gd1 0.000 0.000 0.000 x1
Dy1 0.500 0.500 0.761 x1
S1 0.000 0.500 0.943 x1
S2 0.500 0.000 0.813 x1
I1 0.000 0.500 0.532 x1
I2 0.500 0.000 0.233 x1

***

(3)
For Nd2Si2O7, the PBE geometry in OQMD gives the computed PXRD pattern in this record (Cu Kα X-rays).
Peak positions follow from Bragg's law for the DFT cell and can differ from measured ones.

The 12 most intense peaks (2θ = 10–90°), by angle:
| Position (°2θ) | Rel. int. |
| --- | --- |
| 19.32 | 30.7 |
| 22.20 | 28.2 |
| 25.87 | 25.9 |
| 26.90 | 67.5 |
| 27.47 | 55.2 |
| 27.64 | 100.0 |
| 29.53 | 61.1 |
| 30.60 | 46.0 |
| 31.50 | 27.3 |
| 32.70 | 26.4 |
| 38.17 | 27.6 |
| 46.27 | 35.8 |

Cell and atoms:
a = 6.649 Å, b = 6.697 Å, c = 12.736 Å
α = 90.00°, β = 108.20°, γ = 90.00°
Space group P2_1/c (No. 14)
Unique sites:
Nd1 0.030 0.106 0.360 x4
Nd2 0.362 0.188 0.159 x4
Si1 0.205 0.573 0.393 x4
Si2 0.396 0.675 0.086 x4
O1 0.002 0.720 0.335 x4
O2 0.159 0.108 0.965 x4
O3 0.222 0.008 0.549 x4
O4 0.290 0.001 0.792 x4
O5 0.302 0.672 0.658 x4
O6 0.380 0.079 0.343 x4
O7 0.405 0.713 0.471 x4

***

(4)
For Sc2ZnTc, the PBE geometry in OQMD gives the computed PXRD pattern in this record (Cu Kα X-rays).
Peak positions follow from Bragg's law for the DFT cell and can differ from measured ones.

The 12 most intense peaks (2θ = 10–90°), by angle:
| Position (°2θ) | Rel. int. |
| --- | --- |
| 25.86 | 7.0 |
| 27.85 | 5.8 |
| 27.95 | 5.8 |
| 38.40 | 100.0 |
| 39.87 | 44.8 |
| 48.13 | 5.6 |
| 53.16 | 9.3 |
| 57.53 | 7.2 |
| 57.77 | 7.1 |
| 68.46 | 16.5 |
| 71.33 | 14.5 |
| 71.49 | 14.4 |

Cell and atoms:
a = 6.408 Å, b = 6.891 Å, c = 6.384 Å
α = 90.00°, β = 90.00°, γ = 90.00°
Space group Imma (No. 74)
Unique sites:
Sc1 0.250 0.001 0.250 x8
Zn1 0.000 0.250 0.501 x4
Tc1 0.000 0.250 0.999 x4

***

(5)
For TbHo2Mg3AgAu2, the PBE geometry in OQMD gives the computed PXRD pattern in this record (Cu Kα X-rays).
Peak positions follow from Bragg's law for the DFT cell and can differ from measured ones.

The 12 most intense peaks (2θ = 10–90°), by angle:
| Position (°2θ) | Rel. int. |
| --- | --- |
| 13.22 | 33.8 |
| 23.01 | 49.4 |
| 32.26 | 100.0 |
| 35.00 | 99.1 |
| 35.47 | 23.0 |
| 40.41 | 41.0 |
| 42.30 | 30.6 |
| 45.52 | 21.7 |
| 47.01 | 16.4 |
| 54.51 | 19.5 |
| 62.48 | 22.7 |
| 65.04 | 17.4 |

Cell and atoms:
a = 3.985 Å, b = 13.407 Å, c = 7.723 Å
α = 90.00°, β = 90.00°, γ = 90.00°
Space group Amm2 (No. 38)
Unique sites:
Tb1 0.000 0.000 0.000 x2
Ho1 0.000 0.207 0.620 x4
Mg1 0.500 0.000 0.663 x2
Mg2 0.500 0.125 0.289 x4
Ag1 0.000 0.000 0.414 x2
Au1 0.500 0.168 0.913 x4

***

(6)
For Ta5Ni24, the PBE geometry in OQMD gives the computed PXRD pattern in this record (Cu Kα X-rays).
Peak positions follow from Bragg's law for the DFT cell and can differ from measured ones.

The 12 most intense peaks (2θ = 10–90°), by angle:
| Position (°2θ) | Rel. int. |
| --- | --- |
| 14.21 | 7.0 |
| 24.74 | 8.6 |
| 28.64 | 9.1 |
| 38.20 | 13.6 |
| 43.56 | 100.0 |
| 48.43 | 18.0 |
| 50.73 | 11.7 |
| 65.24 | 13.0 |
| 74.58 | 4.8 |
| 76.39 | 10.5 |
| 79.98 | 19.5 |
| 87.04 | 5.2 |

Cell and atoms:
a = 8.815 Å, b = 8.815 Å, c = 8.815 Å
α = 90.00°, β = 90.00°, γ = 90.00°
Space group I-43m (No. 217)
Unique sites:
Ta1 0.000 0.000 0.000 x2
Ta2 0.193 0.193 0.193 x8
Ni1 0.041 0.364 0.636 x24
Ni2 0.092 0.092 0.719 x24